[1]
Theoretical powder diffraction line list
Compound: LiNiW2O8
Radiation: Cu Ka
Structure: DFT lattice parameters and positions (GGA+U)
Intensities are scaled so that the largest is 100.

Main lines, sorted by position (2θ = 10–90°):
2θ/deg  intensity
18.5  100.0
19.7  70.1
23.5  46.3
27.7  59.5
28.0  55.7
32.0  89.0

Cell and atoms:
```
data_LiNiW2O8
_space_group_name_H-M_alt 'P 1'
_space_group_IT_number 1
_cell_length_a 5.0941
_cell_length_b 5.7452
_cell_length_c 5.8403
_cell_angle_alpha 108.95
_cell_angle_beta 90.55
_cell_angle_gamma 116.27
loop_
_space_group_symop_operation_xyz
'x,y,z'
loop_
_atom_site_label
_atom_site_type_symbol
_atom_site_fract_x
_atom_site_fract_y
_atom_site_fract_z
_atom_site_occupancy
Li1 Li 0.0000 0.0000 0.0000 1
Ni1 Ni 0.4674 0.9189 0.2763 1
W1 W 0.2198 0.4358 0.6090 1
W2 W 0.6962 0.3910 0.9303 1
O1 O 0.0106 0.6514 0.7579 1
O2 O 0.0152 0.7054 0.1736 1
O3 O 0.4284 0.2099 0.5990 1
O4 O 0.4417 0.6718 0.4669 1
O5 O 0.4664 0.1803 0.0942 1
O6 O 0.5046 0.6380 0.9480 1
O7 O 0.9194 0.2044 0.8165 1
O8 O 0.9197 0.1716 0.3465 1
```

[2]
Theoretical powder diffraction line list
Compound: Li3YNi2O6
Radiation: Cu Ka
Structure: DFT lattice parameters and positions (GGA+U)
Intensities are scaled so that the largest is 100.

Main lines, sorted by position (2θ = 10–90°):
2θ/deg  intensity
17.9  100.0
33.7  33.1
35.7  17.2
36.0  14.2
40.6  51.6
44.2  20.3

Cell and atoms:
```
data_Li3YNi2O6
_space_group_name_H-M_alt 'P 1'
_space_group_IT_number 1
_cell_length_a 5.3776
_cell_length_b 5.3776
_cell_length_c 10.2403
_cell_angle_alpha 96.83
_cell_angle_beta 96.83
_cell_angle_gamma 122.37
loop_
_space_group_symop_operation_xyz
'x,y,z'
loop_
_atom_site_label
_atom_site_type_symbol
_atom_site_fract_x
_atom_site_fract_y
_atom_site_fract_z
_atom_site_occupancy
Li1 Li 0.0389 0.9611 0.7500 1
Li2 Li 0.2851 0.7149 0.2500 1
Li3 Li 0.4376 0.5624 0.7500 1
Li4 Li 0.5624 0.4376 0.2500 1
Li5 Li 0.7149 0.2851 0.7500 1
Li6 Li 0.9611 0.0389 0.2500 1
Y1 Y 0.0000 0.5000 0.5000 1
Y2 Y 0.5000 0.0000 0.0000 1
Ni1 Ni 0.1666 0.3308 0.9989 1
Ni2 Ni 0.3308 0.1666 0.4989 1
Ni3 Ni 0.6692 0.8334 0.5011 1
Ni4 Ni 0.8334 0.6692 0.0011 1
O1 O 0.0659 0.1833 0.6083 1
O2 O 0.0991 0.5566 0.8826 1
O3 O 0.1833 0.0659 0.1083 1
O4 O 0.3097 0.4654 0.3808 1
O5 O 0.4434 0.9009 0.6174 1
O6 O 0.4654 0.3097 0.8808 1
O7 O 0.5346 0.6903 0.1192 1
O8 O 0.5566 0.0991 0.3826 1
O9 O 0.6903 0.5346 0.6192 1
O10 O 0.8167 0.9341 0.8917 1
O11 O 0.9009 0.4434 0.1174 1
O12 O 0.9341 0.8167 0.3917 1
```